Simulated powder XRD pattern of Nd3Dy5As8 for Cu Ka, from a structure optimized by DFT (PBE).
Kinematic intensities with the Lorentz-polarization factor, no thermal factor.

Crystal structure
```
16
Lattice="4.1773 2.4118 6.8216 -4.1773 2.4118 6.8216 0.0000 -4.8235 6.8216" Properties=species:S:1:pos:R:3 pbc="T T T"
Nd -2.0887 -1.2059 6.8216
Nd -2.0887 1.2059 13.6433
Nd 0.0000 2.4118 6.8216
Dy 0.0000 0.0000 0.0000
Dy -4.1773 0.0000 10.2324
Dy -2.0887 1.2059 3.4108
Dy 2.0887 1.2059 3.4108
Dy 0.0000 0.0000 10.2324
As -2.1146 -1.2209 11.8955
As 0.0000 0.0000 5.0510
As 0.0000 -2.4417 8.5694
As -2.1146 1.2209 8.5694
As 2.1146 -1.2209 11.8955
As 0.0000 2.4417 11.8955
As 0.0000 0.0000 15.4139
As 2.1146 1.2209 8.5694
```

Top 6 peaks for 2θ from 15° to 90°, by angle:
- 2θ 26.13, intensity 21
- 2θ 30.26, intensity 100
- 2θ 43.32, intensity 75
- 2θ 53.75, intensity 26
- 2θ 71.41, intensity 34
- 2θ 79.48, intensity 25